Diffraction record for Na2HoMoPO8. The PXRD pattern is calculated, not measured: it uses a cell relaxed with PBE+U and λ = 1.5418 Å (Cu Kα).
Neutral-atom scattering factors, no anomalous dispersion.

Structural model:
a b c (Å): 6.932 12.176 18.196
angles (deg): 90.00 90.00 90.00
Space group Ibca (No. 73)
Asymmetric unit:
Na 0.006 0.053 0.154
Ho 0.250 0.178 0.500
Mo 0.000 0.250 0.323
P 0.250 0.069 0.000
O 0.040 0.129 0.769
O 0.075 0.148 0.007
O 0.211 0.226 0.379
O 0.240 0.007 0.568

Main lines, in order of falling intensity (10° ≤ 2θ ≤ 90°):
(2 0 2), 2θ 27.54, intensity 100; (1 4 1), 2θ 32.49, intensity 70; (0 2 0), 2θ 14.55, intensity 53; (1 4 3), 2θ 35.46, intensity 45; (1 2 1), 2θ 20.02, intensity 42; (0 0 6), 2θ 29.45, intensity 41; (1 1 2), 2θ 17.66, intensity 36; (1 3 2), 2θ 27.28, intensity 32; (0 0 4), 2θ 19.51, intensity 32; (2 0 8), 2θ 47.84, intensity 31; (1 1 4), 2θ 24.52, intensity 29; (1 2 3), 2θ 24.39, intensity 27

=====

Diffraction record for Ho2Mo3O12. The PXRD pattern is calculated, not measured: it uses a cell relaxed with PBE+U and λ = 1.5418 Å (Cu Kα).
Neutral-atom scattering factors, no anomalous dispersion.

Structural model:
a b c (Å): 7.430 7.430 10.674
angles (deg): 90.00 90.00 90.00
Space group P-42_1m (No. 113)
Asymmetric unit:
Ho 0.187 0.313 0.262
Mo 0.000 0.000 0.000
Mo 0.207 0.293 0.644
O 0.007 0.775 0.704
O 0.046 0.191 0.098
O 0.126 0.626 0.308
O 0.195 0.305 0.478

Main lines, in order of falling intensity (10° ≤ 2θ ≤ 90°):
(2 1 0), 2θ 26.83, intensity 100; (2 0 2), 2θ 29.29, intensity 91; (1 1 1), 2θ 18.83, intensity 86; (2 0 1), 2θ 25.39, intensity 72; (1 1 3), 2θ 30.34, intensity 71; (0 0 2), 2θ 16.61, intensity 69; (2 0 0), 2θ 23.95, intensity 68; (1 1 2), 2θ 23.77, intensity 67; (2 1 2), 2θ 31.72, intensity 56; (1 1 5), 2θ 45.88, intensity 50; (3 0 3), 2θ 44.58, intensity 46; (0 0 3), 2θ 25.03, intensity 45

=====

Diffraction record for HoMo2O6. The PXRD pattern is calculated, not measured: it uses a cell relaxed with PBE+U and λ = 1.5418 Å (Cu Kα).
Neutral-atom scattering factors, no anomalous dispersion.

Structural model:
a b c (Å): 5.371 7.811 5.641
angles (deg): 90.00 90.05 90.00
Space group Pm (No. 6)
Asymmetric unit:
Ho 0.000 0.000 0.000
Ho 0.485 0.500 0.353
Mo 0.006 0.250 0.434
Mo 0.512 0.251 0.910
O 0.103 0.000 0.386
O 0.219 0.295 0.155
O 0.331 0.309 0.613
O 0.400 0.000 0.901
O 0.595 0.500 0.965
O 0.731 0.202 0.204
O 0.847 0.192 0.724
O 0.888 0.500 0.448

Main lines, in order of falling intensity (10° ≤ 2θ ≤ 90°):
(1 2 -1), 2θ 32.49, intensity 100; (1 1 0), 2θ 20.06, intensity 49; (0 1 1), 2θ 19.41, intensity 41; (2 0 0), 2θ 33.36, intensity 25; (3 2 -1), 2θ 59.07, intensity 23; (2 0 -2), 2θ 46.70, intensity 21; (0 0 2), 2θ 31.72, intensity 20; (0 4 0), 2θ 46.50, intensity 15; (2 1 -1), 2θ 38.89, intensity 14; (2 4 0), 2θ 58.43, intensity 12; (1 0 3), 2θ 51.50, intensity 12; (2 4 -2), 2θ 68.03, intensity 11

=====

Diffraction record for HoMoO5. The PXRD pattern is calculated, not measured: it uses a cell relaxed with PBE+U and λ = 1.5418 Å (Cu Kα).
Neutral-atom scattering factors, no anomalous dispersion.

Structural model:
a b c (Å): 5.307 12.547 6.877
angles (deg): 90.00 115.94 90.00
Space group P2_1/c (No. 14)
Asymmetric unit:
Ho 0.145 0.054 0.289
Mo 0.405 0.139 0.855
O 0.011 0.581 0.955
O 0.195 0.064 0.964
O 0.269 0.651 0.414
O 0.292 0.228 0.286
O 0.490 0.573 0.842

Main lines, in order of falling intensity (10° ≤ 2θ ≤ 90°):
(0 2 0), 2θ 14.12, intensity 100; (1 2 -1), 2θ 22.81, intensity 66; (1 1 0), 2θ 19.90, intensity 58; (1 3 -1), 2θ 27.87, intensity 56; (1 0 -2), 2θ 26.62, intensity 54; (1 3 0), 2θ 28.38, intensity 53; (1 1 1), 2θ 29.08, intensity 51; (2 1 -1), 2θ 34.60, intensity 47; (1 2 0), 2θ 23.42, intensity 44; (0 4 1), 2θ 31.99, intensity 42; (1 2 1), 2θ 31.65, intensity 40; (1 4 -3), 2θ 49.25, intensity 36

=====

Diffraction record for HoMo2O6. The PXRD pattern is calculated, not measured: it uses a cell relaxed with PBE+U and λ = 1.5418 Å (Cu Kα).
Neutral-atom scattering factors, no anomalous dispersion.

Structural model:
a b c (Å): 4.849 5.231 5.346
angles (deg): 118.64 90.15 90.59
Space group P1 (No. 1)
Asymmetric unit:
Ho 0.000 0.000 0.000
Mo 0.501 0.677 0.338
Mo 0.503 0.339 0.683
O 0.272 0.005 0.653
O 0.275 0.661 0.020
O 0.287 0.368 0.357
O 0.726 0.666 0.665
O 0.727 0.366 0.013
O 0.732 0.987 0.355

Main lines, in order of falling intensity (10° ≤ 2θ ≤ 90°):
(1 1 -1), 2θ 26.93, intensity 100; (1 -1 0), 2θ 26.56, intensity 99; (1 -1 1), 2θ 26.82, intensity 53; (1 0 -1), 2θ 26.32, intensity 51; (0 1 1), 2θ 33.21, intensity 40; (0 1 -2), 2θ 33.55, intensity 39; (2 -1 2), 2θ 50.94, intensity 39; (0 2 -1), 2θ 34.29, intensity 36; (1 2 0), 2θ 43.88, intensity 24; (0 3 0), 2θ 60.48, intensity 23; (-2 1 1), 2θ 50.28, intensity 23; (2 0 0), 2θ 37.09, intensity 22

=====

Diffraction record for HoMoO3. The PXRD pattern is calculated, not measured: it uses a cell relaxed with PBE+U and λ = 1.5418 Å (Cu Kα).
Neutral-atom scattering factors, no anomalous dispersion.

Structural model:
a b c (Å): 3.301 15.931 5.679
angles (deg): 90.00 90.00 90.00
Space group Cmc2_1 (No. 36)
Asymmetric unit:
Ho 0.000 0.185 0.000
Mo 0.000 0.487 0.047
O 0.000 0.042 0.280
O 0.000 0.273 0.716
O 0.000 0.402 0.338

Main lines, in order of falling intensity (10° ≤ 2θ ≤ 90°):
(1 3 0), 2θ 31.89, intensity 100; (0 4 1), 2θ 27.35, intensity 58; (1 3 2), 2θ 45.47, intensity 54; (0 2 1), 2θ 19.19, intensity 47; (1 7 1), 2θ 51.35, intensity 26; (0 0 2), 2θ 31.51, intensity 24; (0 6 2), 2θ 46.84, intensity 18; (0 6 0), 2θ 33.76, intensity 16; (1 1 3), 2θ 56.32, intensity 13; (0 4 0), 2θ 22.32, intensity 11; (2 4 1), 2θ 63.13, intensity 11; (2 0 0), 2θ 55.68, intensity 10